# 1
For AcMgAs2O6, a cell relaxed with GGA-PBE gives the theoretical powder X-ray diffraction pattern in this record (a wavelength of 1.5418 Å).
Kinematic intensities with the Lorentz-polarization factor, no thermal factor.

Atomic structure:
Cell lengths 6.514, 6.514, 6.514 Å; angles 49.93, 49.93, 49.93 degrees
Sites, in units of the cell vectors:
1 Ac 0.000 0.000 0.000
2 Mg 0.500 0.500 0.500
3 As 0.272 0.272 0.272
4 As 0.728 0.728 0.728
5 O 0.079 0.472 0.740
6 O 0.260 0.921 0.528
7 O 0.472 0.740 0.079
8 O 0.528 0.260 0.921
9 O 0.740 0.079 0.472
10 O 0.921 0.528 0.260

The 12 most intense peaks (2θ = 15–90°), sorted by position:
15.6°, I = 438; 19.4°, I = 427; 28.1°, I = 1000; 32.6°, I = 550; 36.3°, I = 518; 41.6°, I = 233; 43.5°, I = 254; 46.7°, I = 170; 55.4°, I = 276; 58.1°, I = 274; 64.3°, I = 135; 68.2°, I = 179

***

# 2
For AcMg3As4O12, a cell relaxed with GGA-PBE gives the theoretical powder X-ray diffraction pattern in this record (a wavelength of 1.5418 Å).
Kinematic intensities with the Lorentz-polarization factor, no thermal factor.

Atomic structure:
Cell lengths 6.735, 6.735, 6.735 Å; angles 105.20, 105.20, 105.20 degrees
Sites, in units of the cell vectors:
1 Ac 0.000 0.000 0.000
2 Mg 0.000 0.580 0.420
3 Mg 0.420 0.000 0.580
4 Mg 0.580 0.420 0.000
5 As 0.098 0.500 0.902
6 As 0.500 0.500 0.500
7 As 0.500 0.902 0.098
8 As 0.902 0.098 0.500
9 O 0.012 0.263 0.351
10 O 0.068 0.932 0.500
11 O 0.263 0.351 0.012
12 O 0.342 0.658 0.500
13 O 0.351 0.012 0.263
14 O 0.500 0.068 0.932
15 O 0.500 0.342 0.658
16 O 0.649 0.737 0.988
17 O 0.658 0.500 0.342
18 O 0.737 0.988 0.649
19 O 0.932 0.500 0.068
20 O 0.988 0.649 0.737

The 12 most intense peaks (2θ = 15–90°), sorted by position:
16.6°, I = 541; 24.1°, I = 232; 27.8°, I = 354; 28.9°, I = 589; 29.4°, I = 1000; 33.5°, I = 231; 33.9°, I = 507; 36.7°, I = 420; 37.5°, I = 315; 48.4°, I = 394; 54.5°, I = 265; 62.6°, I = 295

***

Repeat the second record exactly.
For AcMg3As4O12, a cell relaxed with GGA-PBE gives the theoretical powder X-ray diffraction pattern in this record (a wavelength of 1.5418 Å).
Kinematic intensities with the Lorentz-polarization factor, no thermal factor.

Atomic structure:
Cell lengths 6.735, 6.735, 6.735 Å; angles 105.20, 105.20, 105.20 degrees
Sites, in units of the cell vectors:
1 Ac 0.000 0.000 0.000
2 Mg 0.000 0.580 0.420
3 Mg 0.420 0.000 0.580
4 Mg 0.580 0.420 0.000
5 As 0.098 0.500 0.902
6 As 0.500 0.500 0.500
7 As 0.500 0.902 0.098
8 As 0.902 0.098 0.500
9 O 0.012 0.263 0.351
10 O 0.068 0.932 0.500
11 O 0.263 0.351 0.012
12 O 0.342 0.658 0.500
13 O 0.351 0.012 0.263
14 O 0.500 0.068 0.932
15 O 0.500 0.342 0.658
16 O 0.649 0.737 0.988
17 O 0.658 0.500 0.342
18 O 0.737 0.988 0.649
19 O 0.932 0.500 0.068
20 O 0.988 0.649 0.737

The 12 most intense peaks (2θ = 15–90°), sorted by position:
16.6°, I = 541; 24.1°, I = 232; 27.8°, I = 354; 28.9°, I = 589; 29.4°, I = 1000; 33.5°, I = 231; 33.9°, I = 507; 36.7°, I = 420; 37.5°, I = 315; 48.4°, I = 394; 54.5°, I = 265; 62.6°, I = 295